# 1
Calculated X-ray diffraction stick pattern
Compound: Sr6Te3AsBr2
Radiation: Cu Kα X-rays
Structure: a PBE-relaxed structure
Neutral-atom scattering factors, no anomalous dispersion.

Crystal structure
a = 8.049 Å, b = 8.049 Å, c = 7.977 Å
α = 99.58°, β = 99.58°, γ = 119.90°
Atoms (fractional coordinates):
Sr (0.081, 0.394, 0.743)
Sr (0.228, 0.228, 0.250)
Sr (0.394, 0.081, 0.743)
Sr (0.606, 0.919, 0.257)
Sr (0.772, 0.772, 0.750)
Sr (0.919, 0.606, 0.257)
Te (0.175, 0.825, 0.000)
Te (0.500, 0.500, 0.000)
Te (0.825, 0.175, 0.000)
As (0.000, 0.000, 0.500)
Br (0.335, 0.665, 0.500)
Br (0.665, 0.335, 0.500)

Main lines, sorted by position (15° ≤ 2θ ≤ 90°):
| d (Å) | 2theta | I/Imax |
| --- | --- | --- |
| 3.277 | 27.21 | 100.0 |
| 2.325 | 38.74 | 37.1 |
| 2.316 | 38.88 | 12.6 |
| 2.308 | 39.03 | 25.2 |
| 1.894 | 48.04 | 12.9 |
| 1.881 | 48.40 | 6.8 |
| 1.640 | 56.08 | 8.0 |
| 1.469 | 63.33 | 10.6 |
| 1.461 | 63.72 | 11.2 |
| 1.338 | 70.38 | 7.7 |



# 2
Calculated X-ray diffraction stick pattern
Compound: SrZnAsBr
Radiation: Cu Kα X-rays
Structure: a PBE-relaxed structure
Neutral-atom scattering factors, no anomalous dispersion.

Crystal structure
a = 14.749 Å, b = 14.749 Å, c = 14.749 Å
α = 16.91°, β = 16.91°, γ = 16.91°
Atoms (fractional coordinates):
Sr (0.083, 0.083, 0.083)
Sr (0.917, 0.917, 0.917)
Zn (0.312, 0.312, 0.312)
Zn (0.688, 0.688, 0.688)
As (0.371, 0.371, 0.371)
As (0.629, 0.629, 0.629)
Br (0.211, 0.211, 0.211)
Br (0.789, 0.789, 0.789)

Main lines, sorted by position (15° ≤ 2θ ≤ 90°):
| d (Å) | 2theta | I/Imax |
| --- | --- | --- |
| 3.702 | 24.04 | 27.2 |
| 3.551 | 25.08 | 19.5 |
| 3.217 | 27.73 | 100.0 |
| 2.846 | 31.43 | 40.8 |
| 2.502 | 35.89 | 43.3 |
| 2.169 | 41.65 | 92.1 |
| 2.118 | 42.69 | 33.5 |
| 1.798 | 50.77 | 18.2 |
| 1.616 | 57.00 | 15.7 |
| 1.384 | 67.69 | 15.4 |



# 3
Calculated X-ray diffraction stick pattern
Compound: TaAsBr3
Radiation: Cu Kα X-rays
Structure: a PBE-relaxed structure
Neutral-atom scattering factors, no anomalous dispersion.

Crystal structure
a = 5.206 Å, b = 5.206 Å, c = 5.206 Å
α = 90.00°, β = 90.00°, γ = 90.00°
Atoms (fractional coordinates):
Ta (0.000, 0.000, 0.000)
As (0.500, 0.500, 0.500)
Br (0.000, 0.000, 0.500)
Br (0.000, 0.500, 0.000)
Br (0.500, 0.000, 0.000)

Main lines, sorted by position (15° ≤ 2θ ≤ 90°):
| d (Å) | 2theta | I/Imax |
| --- | --- | --- |
| 5.206 | 17.03 | 74.7 |
| 3.681 | 24.18 | 58.7 |
| 3.006 | 29.72 | 17.1 |
| 2.603 | 34.45 | 100.0 |
| 2.328 | 38.67 | 38.7 |
| 2.125 | 42.53 | 27.0 |
| 1.841 | 49.52 | 70.8 |
| 1.735 | 52.75 | 19.9 |
| 1.503 | 61.72 | 24.3 |
| 1.164 | 82.94 | 32.1 |



# 4
Calculated X-ray diffraction stick pattern
Compound: Tc2AsBr2
Radiation: Cu Kα X-rays
Structure: a PBE-relaxed structure
Neutral-atom scattering factors, no anomalous dispersion.

Crystal structure
a = 6.416 Å, b = 6.416 Å, c = 5.069 Å
α = 90.00°, β = 90.00°, γ = 90.00°
Atoms (fractional coordinates):
Tc (0.126, 0.374, 0.000)
Tc (0.374, 0.874, 0.000)
Tc (0.626, 0.126, 0.000)
Tc (0.874, 0.626, 0.000)
As (0.000, 0.000, 0.000)
As (0.500, 0.500, 0.000)
Br (0.184, 0.316, 0.500)
Br (0.316, 0.816, 0.500)
Br (0.684, 0.184, 0.500)
Br (0.816, 0.684, 0.500)

Main lines, sorted by position (15° ≤ 2θ ≤ 90°):
| d (Å) | 2theta | I/Imax |
| --- | --- | --- |
| 5.069 | 17.49 | 21.4 |
| 2.869 | 31.17 | 100.0 |
| 2.711 | 33.05 | 45.4 |
| 2.535 | 35.41 | 53.5 |
| 2.029 | 44.66 | 32.9 |
| 1.900 | 47.89 | 58.8 |
| 1.884 | 48.32 | 12.2 |
| 1.679 | 54.67 | 19.4 |
| 1.584 | 58.25 | 29.4 |
| 1.159 | 83.36 | 12.9 |